Record 1
Ac3MgCr2N6: theoretical powder diffractogram (Cu Kα (weighted mean of Kα1 and Kα2)), based on a crystal structure in Alexandria, relaxed with GGA-PBE.
Lines closer than 0.1° are merged.

Crystal structure
```
Ac3MgCr2N6
1.0
5.8264 0.0000 0.0000
-2.9132 5.0458 0.0000
0.0000 0.0000 6.8163
Ac Mg Cr N
3 1 2 6
Cartesian
0.0000 0.0000 0.0000 Ac
0.0000 3.3639 4.6062 Ac
2.9132 1.6819 2.2101 Ac
0.0000 0.0000 3.4082 Mg
0.0000 3.3639 1.5405 Cr
2.9132 1.6819 5.2758 Cr
0.0000 1.7138 2.0345 N
-1.4290 4.1889 2.0345 N
1.4842 0.8569 4.7818 N
1.4290 4.1889 2.0345 N
4.3422 0.8569 4.7818 N
2.9132 3.3321 4.7818 N
```

The 12 most intense peaks (5° ≤ 2θ ≤ 70°), by angle:
d (Å)	2θ (°)	I_rel
4.056	21.92	97
2.913	30.69	100
2.824	31.68	87
2.366	38.03	36
2.272	39.67	12
2.028	44.69	43
1.837	49.64	25
1.792	50.97	27
1.682	54.56	20
1.664	55.19	37
1.614	57.04	14
1.457	63.91	15

***

Record 2
Ac2MgCrS6: theoretical powder diffractogram (Cu Kα (weighted mean of Kα1 and Kα2)), based on a crystal structure in Alexandria, relaxed with GGA-PBE.
Lines closer than 0.1° are merged.

Crystal structure
```
Ac2MgCrS6
1.0
6.7683 0.0000 0.0000
0.0000 9.4193 0.0000
0.0000 0.0000 6.8448
Ac Mg Cr S
4 2 2 12
Cartesian
1.6921 0.1330 1.5062 Ac
1.6921 4.5767 1.5062 Ac
5.0762 4.8426 5.3386 Ac
5.0762 9.2863 5.3386 Ac
1.6921 7.0645 5.1952 Mg
5.0762 2.3548 1.6496 Mg
1.6921 2.3548 4.9410 Cr
5.0762 7.0645 1.9038 Cr
0.0069 2.3548 6.6694 S
0.1094 2.3548 3.2968 S
1.6921 0.0843 5.2748 S
1.6921 4.6253 5.2748 S
3.2747 2.3548 3.2968 S
3.3772 2.3548 6.6694 S
3.3911 7.0645 0.1754 S
3.4936 7.0645 3.5480 S
5.0762 4.7940 1.5700 S
5.0762 9.3349 1.5700 S
6.6589 7.0645 3.5480 S
6.7614 7.0645 0.1754 S
```

The 12 most intense peaks (5° ≤ 2θ ≤ 70°), by angle:
d (Å)	2θ (°)	I_rel
4.813	18.44	47
4.710	18.84	22
3.422	26.04	24
3.384	26.34	27
3.366	26.48	100
2.769	32.34	43
2.748	32.58	47
2.406	37.37	49
2.355	38.22	24
2.143	42.17	18
1.950	46.57	23
1.683	54.52	30

***

Record 3
Ac2CrN4: theoretical powder diffractogram (Cu Kα (weighted mean of Kα1 and Kα2)), based on a crystal structure in Alexandria, relaxed with GGA-PBE.
Lines closer than 0.1° are merged.

Crystal structure
```
Ac2CrN4
1.0
7.5530 0.0000 0.0000
0.0000 5.7051 0.0000
0.0000 0.0000 10.3348
Ac Cr N
8 4 16
Cartesian
0.1113 1.4263 1.9573 Ac
1.1730 4.2788 4.3731 Ac
2.6035 1.4263 9.5405 Ac
3.6652 4.2788 7.1247 Ac
3.8879 1.4263 3.2101 Ac
4.9495 4.2788 0.7943 Ac
6.3801 1.4263 5.9618 Ac
7.4417 4.2788 8.3775 Ac
1.7182 4.2788 0.7852 Cr
2.0583 1.4263 5.9527 Cr
5.4948 4.2788 4.3822 Cr
5.8348 1.4263 9.5496 Cr
0.0159 1.4263 9.4271 N
1.3649 5.7044 6.6534 N
1.3649 2.8532 6.6534 N
1.5483 1.4263 4.2675 N
2.2283 4.2788 9.4349 N
2.4116 0.0007 1.4860 N
2.4116 2.8519 1.4860 N
3.7607 4.2788 4.2597 N
3.7924 1.4263 6.0751 N
5.1415 5.7044 8.8488 N
5.1415 2.8532 8.8488 N
5.3248 1.4263 0.8999 N
6.0048 4.2788 6.0673 N
6.1881 0.0007 3.6814 N
6.1881 2.8519 3.6814 N
7.5372 4.2788 0.9077 N
```

The 12 most intense peaks (5° ≤ 2θ ≤ 70°), by angle:
d (Å)	2θ (°)	I_rel
4.166	21.33	35
3.416	26.09	100
3.134	28.48	32
3.049	29.29	37
3.012	29.66	86
2.949	30.31	87
2.853	31.36	73
2.446	36.75	43
2.110	42.87	26
2.083	43.44	28
1.857	49.06	30
1.719	53.28	44

***

Record 4
NaAc2Cr2N6: theoretical powder diffractogram (Cu Kα (weighted mean of Kα1 and Kα2)), based on a crystal structure in Alexandria, relaxed with GGA-PBE.
Lines closer than 0.1° are merged.

Crystal structure
```
NaAc2Cr2N6
1.0
6.4358 0.0000 0.0000
-1.9774 6.1361 0.0000
-2.8600 -2.6068 5.7849
Na Ac Cr N
1 2 2 6
Cartesian
0.0000 0.0000 0.0000 Na
-0.0402 0.0318 3.9329 Ac
1.6385 3.4975 1.8520 Ac
-2.8573 2.0876 4.0655 Cr
4.4556 1.4416 1.7194 Cr
-2.8852 3.7736 3.9212 N
-0.3645 1.9271 1.8576 N
-1.7794 1.3022 5.1511 N
3.3778 2.2270 0.6338 N
1.9629 1.6021 3.9273 N
4.4835 -0.2444 1.8637 N
```

The 12 most intense peaks (5° ≤ 2θ ≤ 70°), by angle:
d (Å)	2θ (°)	I_rel
5.785	15.32	32
5.590	15.85	60
5.235	16.94	44
5.160	17.19	54
4.135	21.49	65
3.792	23.46	100
3.385	26.33	56
3.151	28.33	72
2.935	30.46	75
2.591	34.62	48
2.299	39.18	36
1.980	45.83	51

***

Record 5
NaAc2CrN4: theoretical powder diffractogram (Cu Kα (weighted mean of Kα1 and Kα2)), based on a crystal structure in Alexandria, relaxed with GGA-PBE.
Lines closer than 0.1° are merged.

Crystal structure
```
NaAc2CrN4
1.0
0.0000 4.2349 4.1594
4.2120 0.0000 4.1594
4.2120 4.2349 0.0000
Na Ac Cr N
1 2 1 4
Cartesian
0.0000 0.0000 0.0000 Na
2.1060 2.1174 2.0841 Ac
6.3179 6.3523 6.2435 Ac
4.2120 4.2349 4.1727 Cr
4.2120 2.6527 3.2975 N
5.7846 4.2349 5.0564 N
4.2120 5.8170 3.2975 N
2.6393 4.2349 5.0564 N
```

The 12 most intense peaks (5° ≤ 2θ ≤ 70°), by angle:
d (Å)	2θ (°)	I_rel
4.235	20.98	27
4.212	21.09	26
4.159	21.36	25
2.986	29.92	43
2.964	30.16	100
2.426	37.06	29
2.117	42.70	11
1.886	48.25	14
1.866	48.81	14
1.722	53.19	20
1.717	53.34	20
1.707	53.71	22

***

Record 6
Ac2NpCrN5: theoretical powder diffractogram (Cu Kα (weighted mean of Kα1 and Kα2)), based on a crystal structure in Alexandria, relaxed with GGA-PBE.
Lines closer than 0.1° are merged.

Crystal structure
```
Ac2NpCrN5
1.0
1.7786 -7.3132 0.0000
1.7786 7.3132 0.0000
0.0000 0.0000 10.8277
Ac Np Cr N
4 2 2 10
Cartesian
1.7786 5.6402 5.4139 Ac
1.7786 5.3042 1.5952 Ac
1.7786 -5.3042 7.0091 Ac
1.7786 -5.6402 0.0000 Ac
1.7786 4.5060 9.1125 Np
1.7786 -4.5060 3.6987 Np
1.7786 0.6424 2.7908 Cr
1.7786 -0.6424 8.2046 Cr
1.7786 6.8362 8.8836 N
1.7786 2.9932 5.1015 N
1.7786 2.5368 2.2681 N
1.7786 2.4445 8.9476 N
1.7786 0.0411 6.6271 N
1.7786 -0.0411 1.2133 N
1.7786 -2.4445 3.5337 N
1.7786 -2.5368 7.6820 N
1.7786 -2.9932 10.5153 N
1.7786 -6.8362 3.4697 N
```

The 12 most intense peaks (5° ≤ 2θ ≤ 70°), by angle:
d (Å)	2θ (°)	I_rel
3.657	24.34	27
3.459	25.75	58
3.237	27.56	100
3.030	29.48	21
2.874	31.12	62
2.777	32.23	30
2.496	35.98	95
2.378	37.83	27
2.085	43.40	30
1.778	51.39	31
1.733	52.81	27
1.559	59.28	25